[1]
Calculated powder XRD pattern
Compound: Sm3Er7Tm
Radiation: Cu Kα (λ = 1.5418 Å)
Structure: a DFT-relaxed cell (PBE, Alexandria)
No peak broadening, texture or thermal motion is included.

Cell and atoms:
Cell lengths 7.0044, 7.0044, 8.5837 Å; angles 90.00, 90.00, 120.00 degrees
Space group P3m1 (No. 156)
Unique sites:
Sm 0.0000 0.5000 0.0000 [3 per cell]
Er 0.1676 0.3353 0.6623 [3 per cell]
Er 0.3352 0.1676 0.3372 [3 per cell]
Er 0.6667 0.3333 0.6620 [1 per cell]
Tm 0.3333 0.6667 0.3379 [1 per cell]

Peak list (10 most intense, 2θ from 10° to 90°, in order of falling intensity)
hkl	two_theta	Rel. int.
2 0 1	31.27	100
0 2 2	36.27	51
0 4 1	62.15	43
2 2 0	52.23	36
4 2 1	85.43	18
2 4 2	88.21	17
4 0 2	65.24	12
0 0 1	10.31	6
0 4 4	77.00	6
0 1 1	17.91	4

=====

[2]
Calculated powder XRD pattern
Compound: Sm2ErTm12
Radiation: Cu Kα (λ = 1.5418 Å)
Structure: a DFT-relaxed cell (PBE, Alexandria)
No peak broadening, texture or thermal motion is included.

Cell and atoms:
Cell lengths 3.5416, 47.4735, 5.5338 Å; angles 90.00, 90.00, 90.00 degrees
Space group Cmmm (No. 65)
Unique sites:
Sm 0.0000 0.1401 0.0000 [4 per cell]
Er 0.0000 0.5000 0.0000 [2 per cell]
Tm 0.0000 0.0330 0.5000 [4 per cell]
Tm 0.0000 0.0671 0.0000 [4 per cell]
Tm 0.0000 0.2225 0.5000 [4 per cell]
Tm 0.0000 0.2864 0.0000 [4 per cell]
Tm 0.0000 0.3350 0.5000 [4 per cell]
Tm 0.0000 0.4044 0.5000 [4 per cell]

Peak list (10 most intense, 2θ from 10° to 90°, in order of falling intensity)
hkl	two_theta	Rel. int.
1 5 1	31.43	100
0 0 2	32.36	79
0 14 1	30.93	63
1 9 1	34.54	53
1 11 0	32.73	50
0 16 1	34.29	42
1 11 2	46.67	30
1 3 1	30.48	29
2 0 2	62.24	26
2 0 0	51.62	21